Structure and theoretical powder X-ray diffraction pattern of Na2In3Pd (a crystal structure in Alexandria, relaxed with GGA-PBE; Cu Kα (λ = 1.5418 Å)).
No peak broadening, texture or thermal motion is included.

Structural model:
```
data_Na2In3Pd
_symmetry_space_group_name_H-M 'P 63/m m c'
_symmetry_Int_Tables_number 194
_symmetry_space_group_name_Hall '-P 6c 2c'
_cell_length_a 6.0767
_cell_length_b 6.0767
_cell_length_c 9.0390
_cell_angle_alpha 90.00
_cell_angle_beta 90.00
_cell_angle_gamma 120.00
loop_
_atom_site_label
_atom_site_fract_x
_atom_site_fract_y
_atom_site_fract_z
_atom_site_occupancy
Na1 0.3333 0.6667 0.0610 1
In1 0.1665 0.3330 0.7500 1
Pd1 0.0000 0.0000 0.0000 1
```

Main lines, by intensity (10° ≤ 2θ ≤ 80°):
- (2 0 1), 35.56°, intensity 100.0
- (1 0 0), 16.85°, intensity 38.7
- (2 0 2), 39.63°, intensity 30.7
- (2 0 3), 45.78°, intensity 20.0
- (1 0 1), 19.52°, intensity 19.3
- (0 0 2), 19.64°, intensity 18.5
- (0 0 4), 39.89°, intensity 15.1
- (2 2 0), 60.99°, intensity 15.0